Structure and computed X-ray diffraction stick pattern of CaZnAsHO5 (the GGA-PBE geometry in Alexandria; Cu Kα, 1.54184 Å).

Atomic structure:
Unit cell a=6.0246 b=7.6079 c=9.1689 alpha=90.00 beta=90.00 gamma=90.00
Space group P2_12_12_1 (No. 19)
Symmetry-distinct sites (fractional):
1 Ca 0.0226 0.1303 0.1733
2 Zn 0.2416 0.2662 0.5063
3 As 0.0178 0.6274 0.6741
4 H 0.0229 0.9948 0.4806
5 O 0.0090 0.1088 0.4281
6 O 0.0098 0.9512 0.9462
7 O 0.0924 0.7964 0.5589
8 O 0.2306 0.1544 0.7340
9 O 0.2456 0.6070 0.7880

Most intense lines, 2θ = 10–90°, in order of rising 2θ:
15.1°, I 33, hkl 0 1 1; 21.2°, I 36, hkl 1 1 1; 27.7°, I 99, hkl 1 2 0; 31.5°, I 100, hkl 0 1 3; 33.5°, I 94, hkl 2 1 1; 34.0°, I 46, hkl 1 2 2; 35.0°, I 45, hkl 1 1 3; 52.1°, I 28, hkl 0 4 2; 56.2°, I 60, hkl 2 3 3; 60.3°, I 30, hkl 2 1 5

---

Structure and computed X-ray diffraction stick pattern of Ca2AsHPd (the GGA-PBE geometry in Alexandria; Cu Kα, 1.54184 Å).

Atomic structure:
Unit cell a=5.0479 b=5.0479 c=3.6697 alpha=90.00 beta=90.00 gamma=90.00
Space group P4/mmm (No. 123)
Symmetry-distinct sites (fractional):
1 Ca 0.0000 0.5000 0.0000
2 As 0.0000 0.0000 0.5000
3 H 0.5000 0.5000 0.0000
4 Pd 0.5000 0.5000 0.5000

Most intense lines, 2θ = 10–90°, in order of rising 2θ:
24.3°, I 9, hkl 0 0 1; 24.9°, I 17, hkl 1 1 0; 35.1°, I 100, hkl 1 1 1; 35.6°, I 49, hkl 2 0 0; 43.5°, I 8, hkl 2 0 1; 49.7°, I 9, hkl 0 0 2; 51.2°, I 17, hkl 2 2 0; 62.6°, I 18, hkl 2 0 2; 63.6°, I 33, hkl 3 1 1; 74.1°, I 10, hkl 2 2 2

---

Structure and computed X-ray diffraction stick pattern of CaAsH2Rh2 (the GGA-PBE geometry in Alexandria; Cu Kα, 1.54184 Å).

Atomic structure:
Unit cell a=5.2099 b=5.5817 c=6.4874 alpha=90.00 beta=98.38 gamma=90.00
Space group P2_1/m (No. 11)
Symmetry-distinct sites (fractional):
1 Ca 0.2177 0.2500 0.3415
2 As 0.2890 0.7500 0.0990
3 H 0.1516 0.2500 0.6871
4 H 0.2649 0.7500 0.6322
5 Rh 0.3278 0.0022 0.8009

Most intense lines, 2θ = 10–90°, in order of rising 2θ:
13.8°, I 96, hkl 0 0 1; 17.2°, I 65, hkl 1 0 0; 20.5°, I 85, hkl 1 0 -1; 26.0°, I 41, hkl 1 1 -1; 27.8°, I 46, hkl 0 0 2; 34.8°, I 48, hkl 2 0 0; 38.3°, I 100, hkl 1 2 -1; 40.2°, I 73, hkl 1 2 1; 48.2°, I 41, hkl 1 2 2; 53.5°, I 40, hkl 2 2 -2

---

Structure and computed X-ray diffraction stick pattern of Ca2HfAs2 (the GGA-PBE geometry in Alexandria; Cu Kα, 1.54184 Å).

Atomic structure:
Unit cell a=7.4656 b=7.4656 c=4.2146 alpha=90.00 beta=90.00 gamma=90.00
Space group P4/mbm (No. 127)
Symmetry-distinct sites (fractional):
1 Ca 0.1503 0.3497 0.0000
2 Hf 0.0000 0.0000 0.5000
3 As 0.1633 0.6633 0.5000

Most intense lines, 2θ = 10–90°, in order of rising 2θ:
16.8°, I 43, hkl 1 1 0; 21.1°, I 74, hkl 0 0 1; 27.1°, I 72, hkl 1 1 1; 34.0°, I 35, hkl 2 2 0; 34.3°, I 98, hkl 2 1 1; 38.1°, I 100, hkl 3 1 0; 40.3°, I 38, hkl 2 2 1; 42.9°, I 33, hkl 0 0 2; 44.0°, I 65, hkl 3 1 1; 58.7°, I 56, hkl 3 1 2

---

Structure and computed X-ray diffraction stick pattern of Ca4HoPa3As8 (the GGA-PBE geometry in Alexandria; Cu Kα, 1.54184 Å).

Atomic structure:
Unit cell a=8.3511 b=8.3511 c=20.4766 alpha=90.00 beta=90.00 gamma=120.00
Space group R-3m (No. 166, hexagonal axes)
Symmetry-distinct sites (fractional):
1 Ca 0.0000 0.0000 0.0000
2 Ca 0.0000 0.5000 0.0000
3 Ho 0.0000 0.0000 0.5000
4 Pa 0.0000 0.5000 0.5000
5 As 0.0000 0.0000 0.2446
6 As 0.0045 0.5022 0.7558

Most intense lines, 2θ = 10–90°, in order of rising 2θ:
13.0°, I 48, hkl 0 0 3; 25.0°, I 26, hkl 0 2 1; 30.3°, I 100, hkl 0 2 4; 39.6°, I 14, hkl 0 2 7; 43.3°, I 74, hkl 2 2 0; 45.4°, I 14, hkl 2 2 3; 53.8°, I 26, hkl 4 0 4; 62.9°, I 12, hkl 0 4 8; 71.4°, I 33, hkl 2 4 4; 79.5°, I 24, hkl 6 0 0

---

Structure and computed X-ray diffraction stick pattern of CaHoAsS (the GGA-PBE geometry in Alexandria; Cu Kα, 1.54184 Å).

Atomic structure:
Unit cell a=4.0855 b=4.0855 c=20.1071 alpha=90.00 beta=90.00 gamma=120.00
Space group R3m (No. 160, hexagonal axes)
Symmetry-distinct sites (fractional):
1 Ca 0.0000 0.0000 0.0000
2 Ho 0.0000 0.0000 0.4984
3 As 0.0000 0.0000 0.7539
4 S 0.0000 0.0000 0.2464

Most intense lines, 2θ = 10–90°, in order of rising 2θ:
13.2°, I 44, hkl 0 0 3; 25.6°, I 25, hkl 1 0 1; 26.7°, I 13, hkl 0 1 2; 30.9°, I 100, hkl 1 0 4; 44.2°, I 36, hkl 0 1 8; 44.3°, I 36, hkl 1 1 0; 46.5°, I 13, hkl 1 1 3; 55.0°, I 19, hkl 0 2 4; 73.0°, I 15, hkl 1 1 12; 73.2°, I 16, hkl 2 1 4

---

Structure and computed X-ray diffraction stick pattern of CaHo2TmAs4 (the GGA-PBE geometry in Alexandria; Cu Kα, 1.54184 Å).

Atomic structure:
Unit cell a=7.1474 b=4.1070 c=7.1585 alpha=90.00 beta=109.27 gamma=90.00
Space group P2/m (No. 10)
Symmetry-distinct sites (fractional):
1 Ca 0.0000 0.0000 0.0000
2 Ho 0.5000 0.0000 0.5000
3 Ho 0.5000 0.5000 0.0000
4 Tm 0.0000 0.5000 0.5000
5 As 0.2514 0.0000 0.7455
6 As 0.2565 0.5000 0.2582

Most intense lines, 2θ = 10–90°, in order of rising 2θ:
13.1°, I 11, hkl 0 0 1; 30.7°, I 100, hkl 1 1 1; 43.7°, I 12, hkl 2 0 2; 43.9°, I 49, hkl 3 1 -1; 44.1°, I 12, hkl 0 2 0; 54.3°, I 13, hkl 4 0 0; 54.7°, I 13, hkl 2 2 -2; 63.8°, I 12, hkl 4 0 -4; 72.5°, I 22, hkl 4 2 0; 81.0°, I 8, hkl 3 3 -1

---

Structure and computed X-ray diffraction stick pattern of CaHo2ZrAs4 (the GGA-PBE geometry in Alexandria; Cu Kα, 1.54184 Å).

Atomic structure:
Unit cell a=6.9896 b=4.0520 c=7.0723 alpha=90.00 beta=109.05 gamma=90.00
Space group P2/m (No. 10)
Symmetry-distinct sites (fractional):
1 Ca 0.0000 0.0000 0.0000
2 Ho 0.5000 0.0000 0.5000
3 Ho 0.5000 0.5000 0.0000
4 Zr 0.0000 0.5000 0.5000
5 As 0.2416 0.0000 0.7385
6 As 0.2483 0.5000 0.2611

Most intense lines, 2θ = 10–90°, in order of rising 2θ:
13.4°, I 18, hkl 1 0 0; 25.7°, I 15, hkl 1 0 -2; 31.1°, I 100, hkl 1 1 1; 31.2°, I 49, hkl 2 0 -2; 44.4°, I 55, hkl 2 0 2; 44.7°, I 18, hkl 0 2 0; 44.9°, I 36, hkl 3 1 -1; 55.6°, I 28, hkl 2 2 -2; 73.4°, I 16, hkl 0 2 4; 82.5°, I 12, hkl 3 3 -1